1.
Structure and calculated powder X-ray diffraction pattern of CsHoTeS (the GGA-PBE geometry in OQMD; Cu Kα, 1.54184 Å).
Kinematic intensities with the Lorentz-polarization factor, no thermal factor.

```
CsHoTeS
1.0
4.2809 0.0000 0.0000
-2.1404 3.7073 0.0000
0.0000 0.0000 17.0312
Cs Ho Te S
2 2 2 2
Cartesian
0.0000 0.0000 0.0000
0.0000 2.4716 8.5156
2.1404 1.2358 3.8768
2.1404 1.2358 13.1544
0.0000 0.0000 5.6936
0.0000 0.0000 11.3376
0.0000 2.4716 2.5353
0.0000 2.4716 14.4958
```

The 6 most intense peaks (5 to 70 degrees two-theta), by angle:
index, 2θ (°), Rel. int.
0 0 2, 10.39, 21.9
1 0 2, 26.22, 62.5
1 0 3, 28.76, 100.0
1 0 6, 40.00, 37.9
1 1 0, 42.22, 47.6
2 0 3, 51.89, 18.8

---

2.
Structure and calculated powder X-ray diffraction pattern of InAgP2H2O8 (the GGA-PBE geometry in OQMD; Cu Kα, 1.54184 Å).
Kinematic intensities with the Lorentz-polarization factor, no thermal factor.

```
InAgP2H2O8
1.0
6.5898 0.0000 0.0000
0.0000 14.4413 0.0000
-0.6587 0.0000 6.6209
In Ag P H O
4 4 8 8 32
Cartesian
1.2758 1.5373 2.4998
0.9465 5.6834 5.8103
4.9846 8.7580 0.8106
4.6552 12.9040 4.1211
1.0823 8.2742 3.2010
0.7530 13.3878 6.5115
5.1781 1.0536 0.1095
4.8488 6.1671 3.4199
0.9872 8.9701 6.5608
1.3165 12.6919 3.2504
1.2004 2.1971 5.8166
1.5297 5.0236 2.5062
4.4014 9.4178 4.1147
4.7307 12.2442 0.8043
4.6145 1.7494 3.3705
4.9439 5.4713 0.0601
-0.2157 10.4213 5.2518
0.1137 11.2407 1.9414
2.6648 10.7238 3.8862
2.9941 10.9382 0.5757
2.9369 3.5031 6.0452
3.2663 3.7175 2.7347
5.8174 3.2006 4.6795
6.1468 4.0201 1.3691
0.5405 8.6483 0.9599
0.2111 13.0137 4.2704
0.4854 3.5399 5.5663
0.8148 3.6807 2.2559
0.6625 10.2703 5.7390
0.9918 11.3917 2.4285
1.2324 1.3987 0.3571
0.9030 5.8220 3.6676
1.1385 1.3005 4.5873
1.4678 5.9202 1.2769
1.2377 7.8001 5.5921
1.5670 13.8619 2.2817
2.9289 9.3808 0.7014
2.5995 12.2812 4.0119
2.9045 9.7420 3.7320
3.2338 11.9200 0.4216
2.6972 2.5213 6.1993
3.0266 4.6993 2.8889
3.3315 2.1602 2.6090
3.0022 5.0605 5.9195
4.3641 0.5794 4.3392
4.6934 6.6413 1.0288
4.4633 8.5212 5.3440
4.7926 13.1408 2.0336
5.0280 8.6194 2.9533
4.6987 13.0426 6.2638
4.9393 3.0497 4.1924
5.2686 4.1710 0.8820
5.1163 10.7606 4.3650
5.4456 10.9014 1.0546
5.7200 1.4277 2.3505
5.3906 5.7930 5.6610
```

The 6 most intense peaks (5 to 70 degrees two-theta), by angle:
index, 2θ (°), Rel. int.
0 2 0, 12.26, 30.5
1 2 -1, 21.90, 39.4
0 4 0, 24.66, 61.6
2 0 0, 27.20, 100.0
1 4 -1, 30.74, 45.2
0 1 3, 41.35, 38.9